Theoretical powder XRD pattern of SmNiSn for Cu Ka, from the PBE geometry in the Materials Project.
Kinematic intensities with the Lorentz-polarization factor, no thermal factor.

Cell and atoms:
```
data_SmNiSn
_cell_length_a 7.3783
_cell_length_b 7.3783
_cell_length_c 3.9929
_cell_angle_alpha 90.00
_cell_angle_beta 90.00
_cell_angle_gamma 120.00
_space_group_name_H-M_alt 'P -6 2 m'
_space_group_IT_number 189
_space_group_name_Hall 'P -6 -2'
loop_
_atom_site_label
_atom_site_fract_x
_atom_site_fract_y
_atom_site_fract_z
Sm1 0.0000 0.5917 0.0000
Ni1 0.0000 0.0000 0.0000
Ni2 0.3333 0.6667 0.5000
Sn1 0.0000 0.2524 0.5000
```

Peak list (10 most intense, 15 to 90 degrees two-theta, sorted by position)
| 2θ (°) | d (Å) | I (rel.) | index |
| --- | --- | --- | --- |
| 33.06 | 2.710 | 100 | 1 1 1 |
| 36.00 | 2.495 | 69 | 2 0 1 |
| 37.23 | 2.415 | 51 | 2 1 0 |
| 42.44 | 2.130 | 22 | 3 0 0 |
| 43.81 | 2.067 | 13 | 2 1 1 |
| 45.43 | 1.996 | 22 | 0 0 2 |
| 56.84 | 1.620 | 21 | 3 1 1 |
| 60.13 | 1.539 | 26 | 2 1 2 |
| 63.91 | 1.457 | 13 | 3 0 2 |
| 68.14 | 1.376 | 24 | 3 2 1 |